This entry pairs a crystal structure of Na3CoN2 with its theoretical PXRD pattern. Radiation: a wavelength of 1.5418 Å. Structure: a cell relaxed with GGA-PBE.

Peak list (10 most intense, 2θ from 5° to 70°, most intense first)
2θ (°)	Rel. int.
36.69	100
31.87	75
24.20	56
22.39	51
40.42	46
13.22	42
45.70	40
37.87	38
33.20	35
21.31	35

Crystal structure
Cell lengths 8.3831, 8.3831, 8.3831 Å; angles 123.45, 123.45, 84.12 degrees
Sites, in units of the cell vectors:
Na 0.0744 0.3244 0.1488
Na 0.0744 0.9256 0.7500
Na 0.2659 0.5159 0.7500
Na 0.3244 0.0744 0.6488
Na 0.3244 0.6756 0.2500
Na 0.4841 0.7341 0.7500
Na 0.5159 0.2659 0.2500
Na 0.6756 0.3244 0.7500
Na 0.6756 0.9256 0.3512
Na 0.7341 0.4841 0.2500
Na 0.9256 0.0744 0.2500
Na 0.9256 0.6756 0.8512
Co 0.0404 0.2904 0.7500
Co 0.2904 0.0404 0.2500
Co 0.7096 0.9596 0.7500
Co 0.9596 0.7096 0.2500
N 0.1332 0.6804 0.4528
N 0.2724 0.3196 0.9528
N 0.3196 0.2724 0.4528
N 0.3196 0.8668 0.0472
N 0.6804 0.1332 0.9528
N 0.6804 0.7276 0.5472
N 0.7276 0.6804 0.0472
N 0.8668 0.3196 0.5472

This entry pairs a crystal structure of Ag2S with its theoretical PXRD pattern. Radiation: a wavelength of 1.5418 Å. Structure: a cell relaxed with GGA-PBE.

Peak list (10 most intense, 2θ from 5° to 70°, most intense first)
2θ (°)	Rel. int.
29.28	100
28.06	97
26.75	95
39.19	67
40.93	62
38.88	56
39.44	55
42.76	53
48.59	25
23.74	20

Crystal structure
Cell lengths 4.4355, 4.6200, 9.8055 Å; angles 99.78, 98.20, 94.87 degrees
Sites, in units of the cell vectors:
Ag 0.0000 0.0000 0.0000
Ag 0.0728 0.0787 0.3130
Ag 0.2689 0.1874 0.6238
Ag 0.4071 0.5457 0.9386
Ag 0.6148 0.5212 0.2873
Ag 0.7385 0.7517 0.6571
S 0.1191 0.6075 0.1569
S 0.4982 0.0256 0.8455
S 0.7712 0.2897 0.4987

This entry pairs a crystal structure of Sm2MgSe4 with its theoretical PXRD pattern. Radiation: a wavelength of 1.5418 Å. Structure: a cell relaxed with GGA-PBE.

Peak list (10 most intense, 2θ from 5° to 70°, most intense first)
2θ (°)	Rel. int.
32.59	100
37.61	85
31.22	58
32.44	53
38.65	38
48.22	29
24.34	29
20.44	26
14.09	26
53.70	20

Crystal structure
Cell lengths 7.6466, 7.6466, 7.6466 Å; angles 110.75, 110.75, 106.93 degrees
Sites, in units of the cell vectors:
Sm 0.0062 0.6250 0.8812
Sm 0.3750 0.2562 0.3812
Sm 0.7438 0.1250 0.1188
Sm 0.8750 0.9938 0.6188
Mg 0.2500 0.7500 0.5000
Mg 0.5000 0.5000 0.0000
Se 0.0066 0.8770 0.2647
Se 0.1230 0.3878 0.1296
Se 0.1378 0.3730 0.6296
Se 0.2582 0.9934 0.8704
Se 0.4918 0.8622 0.2353
Se 0.6122 0.7418 0.7353
Se 0.6270 0.2566 0.7647
Se 0.7434 0.5082 0.3704